# CeSn2Sb3
Calculated X-ray powder pattern, CuKα. Input: a structure optimized by DFT (GGA-PBE).

Top 10 peaks for 15 to 90 degrees two-theta, most intense first:
| 2theta | Rel. int. | hkl |
| --- | --- | --- |
| 33.37 | 100 | 1 1 2 |
| 34.59 | 70 | 0 3 2 |
| 28.60 | 53 | 1 2 1 |
| 33.70 | 50 | 1 3 1 |
| 37.71 | 46 | 1 4 0 |
| 41.14 | 44 | 2 0 0 |
| 54.81 | 37 | 2 3 2 |
| 26.66 | 30 | 0 3 1 |
| 32.40 | 30 | 1 0 2 |
| 25.08 | 28 | 0 0 2 |

```
data_CeSn2Sb3
_chemical_formula_sum 'Ce2 Sn4 Sb6'
_space_group_name_H-M_alt 'P 1'
_space_group_IT_number 1
_cell_length_a 4.388
_cell_length_b 11.366
_cell_length_c 7.114
_cell_angle_alpha 90.00
_cell_angle_beta 90.00
_cell_angle_gamma 90.00
loop_
_space_group_symop_operation_xyz
'x,y,z'
loop_
_atom_site_label
_atom_site_type_symbol
_atom_site_fract_x
_atom_site_fract_y
_atom_site_fract_z
Ce1 Ce 0.000 0.116 0.000
Ce2 Ce 0.000 0.884 0.500
Sn1 Sn 0.000 0.181 0.454
Sn2 Sn 0.000 0.819 0.954
Sn3 Sn 0.500 0.462 0.519
Sn4 Sn 0.500 0.538 0.019
Sb1 Sb 0.000 0.362 0.748
Sb2 Sb 0.000 0.638 0.248
Sb3 Sb 0.500 0.040 0.702
Sb4 Sb 0.500 0.289 0.181
Sb5 Sb 0.500 0.711 0.681
Sb6 Sb 0.500 0.960 0.202
```